# 1
Structure and theoretical PXRD pattern of LaSmHo4Tm2 (the PBE geometry in Alexandria; Cu Kα, 1.54184 Å).

Top 10 peaks for 2θ = 10–90°, low angle first:
2θ (°)	Rel. int.	index
30.81	100	4 0 0
35.72	51	2 2 2
51.41	36	0 4 0
61.14	39	4 4 0
61.21	4	8 0 -4
64.18	12	8 0 0
75.67	6	8 0 -8
83.88	15	8 4 -4
83.98	3	10 2 -2
86.58	14	8 4 0

Structure:
```
data_LaSmHo4Tm2
_cell_length_a 12.301
_cell_length_b 7.114
_cell_length_c 12.316
_cell_angle_alpha 90.00
_cell_angle_beta 109.44
_cell_angle_gamma 90.00
_symmetry_space_group_name_H-M 'C 1 2/m 1'
_symmetry_Int_Tables_number 12
loop_
_symmetry_equiv_pos_as_xyz
'x,y,z'
'-x,-y,-z'
'-x,y,-z'
'x,-y,z'
'x+1/2,y+1/2,z'
'-x+1/2,-y+1/2,-z'
'-x+1/2,y+1/2,-z'
'x+1/2,-y+1/2,z'
loop_
_atom_site_label
_atom_site_fract_x
_atom_site_fract_y
_atom_site_fract_z
La1 0.250 0.250 0.000
Sm1 0.000 0.000 0.000
Sm2 0.000 0.000 0.500
Ho1 0.002 0.251 0.253
Ho2 0.248 0.500 0.745
Ho3 0.249 0.000 0.746
Tm1 0.000 0.500 0.000
Tm2 0.000 0.500 0.500
Tm3 0.250 0.250 0.500
```

# 2
Structure and theoretical PXRD pattern of La5SmHo2Tm (the PBE geometry in Alexandria; Cu Kα, 1.54184 Å).

Top 10 peaks for 2θ = 10–90°, low angle first:
2θ (°)	Rel. int.	index
26.33	17	1 3 2
30.21	13	1 1 3
31.16	100	1 5 2
32.50	39	2 0 0
33.62	18	0 0 4
47.47	14	2 0 4
47.87	9	0 8 4
57.17	19	3 5 2
58.58	9	1 5 6
60.57	11	1 13 2

Structure:
```
data_La5SmHo2Tm
_cell_length_a 5.507
_cell_length_b 21.679
_cell_length_c 10.663
_cell_angle_alpha 90.00
_cell_angle_beta 90.00
_cell_angle_gamma 90.00
_symmetry_space_group_name_H-M 'C m c 21'
_symmetry_Int_Tables_number 36
loop_
_symmetry_equiv_pos_as_xyz
'x,y,z'
'-x,-y,z+1/2'
'-x,y,z'
'x,-y,z+1/2'
'x+1/2,y+1/2,z'
'-x+1/2,-y+1/2,z+1/2'
'-x+1/2,y+1/2,z'
'x+1/2,-y+1/2,z+1/2'
loop_
_atom_site_label
_atom_site_fract_x
_atom_site_fract_y
_atom_site_fract_z
La1 0.000 0.000 0.000
La2 0.000 0.123 0.250
La3 0.000 0.220 0.942
La4 0.000 0.221 0.561
La5 0.000 0.498 0.250
Sm1 0.000 0.290 0.251
Ho1 0.000 0.387 0.999
Ho2 0.000 0.388 0.501
Tm1 0.000 0.100 0.750
```

# 3
Structure and theoretical PXRD pattern of LaSm4Ho2Tm (the PBE geometry in Alexandria; Cu Kα, 1.54184 Å).

Top 8 peaks for 2θ = 10–90°, low angle first:
2θ (°)	Rel. int.	index
30.41	100	2 0 2
35.26	51	2 2 0
50.73	36	4 0 0
60.30	43	4 2 2
63.29	12	4 0 4
74.57	6	4 4 0
82.62	18	6 0 2
85.26	17	6 2 0

Structure:
```
data_LaSm4Ho2Tm
_cell_length_a 7.200
_cell_length_b 7.202
_cell_length_c 10.175
_cell_angle_alpha 90.00
_cell_angle_beta 90.00
_cell_angle_gamma 90.00
_symmetry_space_group_name_H-M 'P m m m'
_symmetry_Int_Tables_number 47
loop_
_symmetry_equiv_pos_as_xyz
'x,y,z'
'-x,-y,-z'
'-x,-y,z'
'x,y,-z'
'x,-y,-z'
'-x,y,z'
'-x,y,-z'
'x,-y,z'
loop_
_atom_site_label
_atom_site_fract_x
_atom_site_fract_y
_atom_site_fract_z
La1 0.000 0.000 0.000
La2 0.500 0.000 0.500
Sm1 0.249 0.253 0.251
Ho1 0.000 0.500 0.000
Ho2 0.500 0.000 0.000
Ho3 0.500 0.500 0.000
Ho4 0.500 0.500 0.500
Tm1 0.000 0.000 0.500
Tm2 0.000 0.500 0.500
```

# 4
Structure and theoretical PXRD pattern of La2Sm2HoTm (the PBE geometry in Alexandria; Cu Kα, 1.54184 Å).

Top 10 peaks for 2θ = 10–90°, low angle first:
2θ (°)	Rel. int.	index
31.01	92	2 1 1
31.25	100	0 2 0
44.60	34	2 2 2
55.46	35	2 3 1
55.61	19	0 3 3
61.52	29	4 2 0
65.19	12	0 4 0
73.93	15	2 4 2
79.24	14	4 3 3
87.62	11	4 4 0

Structure:
```
data_La2Sm2HoTm
_cell_length_a 7.092
_cell_length_b 5.724
_cell_length_c 9.917
_cell_angle_alpha 90.00
_cell_angle_beta 90.00
_cell_angle_gamma 90.00
_symmetry_space_group_name_H-M 'P m m a'
_symmetry_Int_Tables_number 51
loop_
_symmetry_equiv_pos_as_xyz
'x,y,z'
'-x,-y,-z'
'-x+1/2,-y,z'
'x+1/2,y,-z'
'x+1/2,-y,-z'
'-x+1/2,y,z'
'-x,y,-z'
'x,-y,z'
loop_
_atom_site_label
_atom_site_fract_x
_atom_site_fract_y
_atom_site_fract_z
La1 0.000 0.000 0.000
La2 0.250 0.500 0.179
Sm1 0.250 0.000 0.332
Sm2 0.250 0.500 0.834
Ho1 0.250 0.000 0.656
Tm1 0.000 0.500 0.500
```

# 5
Structure and theoretical PXRD pattern of La2SmYHo5 (the PBE geometry in Alexandria; Cu Kα, 1.54184 Å).

Top 10 peaks for 2θ = 10–90°, low angle first:
2θ (°)	Rel. int.	index
28.60	43	2 1 3
29.16	54	2 2 0
30.63	100	2 0 4
32.69	16	3 1 0
37.87	15	3 2 1
40.06	15	2 0 6
52.62	25	4 2 4
55.33	16	2 2 8
55.87	13	3 2 7
59.20	12	5 1 4

Structure:
```
data_La2SmYHo5
_cell_length_a 8.663
_cell_length_b 8.663
_cell_length_c 15.802
_cell_angle_alpha 90.00
_cell_angle_beta 90.00
_cell_angle_gamma 90.00
_symmetry_space_group_name_H-M 'I 4/m c m'
_symmetry_Int_Tables_number 140
_symmetry_space_group_name_Hall '-I 4 2c'
loop_
_atom_site_label
_atom_site_fract_x
_atom_site_fract_y
_atom_site_fract_z
La1 0.118 0.382 0.000
Sm1 0.000 0.000 0.250
Y1 0.000 0.500 0.250
Ho1 0.000 0.000 0.000
Ho2 0.216 0.284 0.359
```

# 6
Structure and theoretical PXRD pattern of LaSm5Y2Ho (the PBE geometry in Alexandria; Cu Kα, 1.54184 Å).

Top 10 peaks for 2θ = 10–90°, low angle first:
2θ (°)	Rel. int.	index
27.89	23	0 6 1
29.95	42	1 1 3
31.30	41	2 0 0
31.97	100	1 5 2
33.65	13	0 0 4
42.41	15	2 6 1
50.76	11	0 6 5
56.13	20	3 5 2
59.07	16	1 11 3
60.86	13	2 6 5

Structure:
```
data_LaSm5Y2Ho
_cell_length_a 5.715
_cell_length_b 20.122
_cell_length_c 10.655
_cell_angle_alpha 90.00
_cell_angle_beta 90.00
_cell_angle_gamma 90.00
_symmetry_space_group_name_H-M 'C m c 21'
_symmetry_Int_Tables_number 36
loop_
_symmetry_equiv_pos_as_xyz
'x,y,z'
'-x,-y,z+1/2'
'-x,y,z'
'x,-y,z+1/2'
'x+1/2,y+1/2,z'
'-x+1/2,-y+1/2,z+1/2'
'-x+1/2,y+1/2,z'
'x+1/2,-y+1/2,z+1/2'
loop_
_atom_site_label
_atom_site_fract_x
_atom_site_fract_y
_atom_site_fract_z
La1 0.000 0.083 0.000
Sm1 0.000 0.020 0.287
Sm2 0.000 0.113 0.570
Sm3 0.000 0.203 0.253
Sm4 0.000 0.218 0.860
Sm5 0.000 0.482 0.571
Y1 0.000 0.385 0.867
Y2 0.000 0.387 0.279
Ho1 0.000 0.299 0.557
```

# 7
Structure and theoretical PXRD pattern of LaSm2YHo (the PBE geometry in Alexandria; Cu Kα, 1.54184 Å).

Top 10 peaks for 2θ = 10–90°, low angle first:
2θ (°)	Rel. int.	index
25.99	44	0 1 2
30.82	100	1 1 1
31.71	41	0 2 0
31.98	15	1 0 2
35.01	22	0 1 3
35.82	15	1 1 2
39.79	23	1 0 3
51.75	23	1 2 3
55.93	18	1 3 1
61.59	19	1 1 5

Structure:
```
data_LaSm2YHo
_cell_length_a 3.676
_cell_length_b 5.643
_cell_length_c 8.631
_cell_angle_alpha 90.00
_cell_angle_beta 90.00
_cell_angle_gamma 90.00
_symmetry_space_group_name_H-M 'P m m m'
_symmetry_Int_Tables_number 47
loop_
_symmetry_equiv_pos_as_xyz
'x,y,z'
'-x,-y,-z'
'-x,-y,z'
'x,y,-z'
'x,-y,-z'
'-x,y,z'
'-x,y,-z'
'x,-y,z'
loop_
_atom_site_label
_atom_site_fract_x
_atom_site_fract_y
_atom_site_fract_z
La1 0.000 0.000 0.000
Sm1 0.000 0.500 0.322
Y1 0.500 0.500 0.000
Ho1 0.500 0.000 0.500
```

# 8
Structure and theoretical PXRD pattern of La5Sm2YHo (the PBE geometry in Alexandria; Cu Kα, 1.54184 Å).

Top 10 peaks for 2θ = 10–90°, low angle first:
2θ (°)	Rel. int.	index
27.79	51	2 1 3
29.04	51	2 2 0
29.33	100	2 0 4
32.56	18	3 1 0
37.66	16	3 2 1
37.81	12	2 0 6
42.39	13	0 0 8
45.89	14	4 1 3
51.66	27	4 2 4
52.20	13	2 2 8

Structure:
```
data_La5Sm2YHo
_cell_length_a 8.697
_cell_length_b 8.697
_cell_length_c 17.058
_cell_angle_alpha 90.00
_cell_angle_beta 90.00
_cell_angle_gamma 90.00
_symmetry_space_group_name_H-M 'I 4/m c m'
_symmetry_Int_Tables_number 140
_symmetry_space_group_name_Hall '-I 4 2c'
loop_
_atom_site_label
_atom_site_fract_x
_atom_site_fract_y
_atom_site_fract_z
La1 0.000 0.000 0.000
La2 0.217 0.283 0.143
Sm1 0.122 0.378 0.500
Y1 0.000 0.500 0.250
Ho1 0.000 0.000 0.250
```